No. 1
The following is a computed XRD peak list of La8Ni4O17. It was derived from DFT lattice parameters and positions (PBE+U), using Cu Ka.

Structure:
```
La8Ni4O17
1.0
5.571 -5.483 0.000
5.571 5.483 0.000
-2.818 0.000 6.334
La Ni O
8 4 17
Direct
0.069 0.568 0.277
0.073 0.073 0.287
0.427 0.417 0.719
0.432 0.931 0.723
0.579 0.059 0.292
0.583 0.573 0.281
0.927 0.927 0.713
0.941 0.421 0.708
0.252 0.748 0.000
0.257 0.248 0.008
0.749 0.251 0.000
0.752 0.743 0.992
0.001 0.241 0.977
0.002 0.752 0.010
0.166 0.662 0.658
0.228 0.165 0.662
0.248 0.998 0.990
0.251 0.491 0.993
0.317 0.333 0.352
0.338 0.834 0.342
0.509 0.749 0.007
0.512 0.255 0.055
0.612 0.146 0.671
0.667 0.683 0.648
0.745 0.488 0.945
0.759 0.999 0.023
0.835 0.772 0.338
0.854 0.388 0.329
0.876 0.124 0.500
```

Largest 10 diffraction maxima, in order of rising 2θ, 10 to 80 degrees two-theta:
- 2θ 23.83, intensity 40.7
- 2θ 28.18, intensity 21.5
- 2θ 31.13, intensity 99.3
- 2θ 31.24, intensity 100.0
- 2θ 32.13, intensity 63.6
- 2θ 32.66, intensity 62.2
- 2θ 42.83, intensity 21.5
- 2θ 43.67, intensity 26.2
- 2θ 46.48, intensity 65.0
- 2θ 57.37, intensity 36.6

=====

No. 2
The following is a computed XRD peak list of Li5Mn5O12. It was derived from DFT lattice parameters and positions (PBE+U), using Cu Ka.

Structure:
```
Li5Mn5O12
1.0
5.030 0.000 0.000
-2.427 4.430 0.000
-1.190 -1.600 19.657
Li Mn O
10 10 24
Direct
0.000 0.000 0.000
0.039 0.731 0.110
0.085 0.463 0.219
0.191 0.887 0.498
0.272 0.271 0.718
0.387 0.080 0.220
0.495 0.506 0.499
0.546 0.227 0.609
0.693 0.384 0.998
0.890 0.580 0.720
0.128 0.142 0.359
0.205 0.567 0.609
0.297 0.975 0.859
0.377 0.406 0.109
0.463 0.813 0.359
0.629 0.643 0.859
0.704 0.058 0.109
0.796 0.477 0.359
0.868 0.905 0.609
0.960 0.312 0.859
0.008 0.341 0.055
0.072 0.123 0.163
0.145 0.823 0.303
0.166 0.502 0.410
0.168 0.215 0.556
0.189 0.891 0.664
0.267 0.615 0.809
0.318 0.330 0.909
0.383 0.084 0.054
0.405 0.752 0.162
0.426 0.453 0.308
0.445 0.132 0.415
0.506 0.849 0.555
0.560 0.603 0.662
0.640 0.332 0.803
0.660 0.002 0.909
0.676 0.712 0.057
0.699 0.380 0.164
0.772 0.129 0.310
0.819 0.827 0.409
0.879 0.587 0.554
0.925 0.264 0.663
0.942 0.958 0.809
0.943 0.629 0.915
```

Largest 10 diffraction maxima, in order of rising 2θ, 10 to 80 degrees two-theta:
- 2θ 18.05, intensity 100.0
- 2θ 35.38, intensity 11.5
- 2θ 36.07, intensity 9.7
- 2θ 36.35, intensity 10.3
- 2θ 42.62, intensity 22.9
- 2θ 43.39, intensity 21.5
- 2θ 43.92, intensity 21.0
- 2θ 56.10, intensity 6.4
- 2θ 62.45, intensity 10.5
- 2θ 63.25, intensity 5.8

=====

No. 3
The following is a computed XRD peak list of Sr2AlTlCo2O7. It was derived from DFT lattice parameters and positions (PBE+U), using Cu Ka.

Structure:
```
Sr2AlTlCo2O7
1.0
3.690 0.000 0.000
0.000 3.690 0.000
0.000 0.000 12.546
Sr Al Tl Co O
2 1 1 2 7
Direct
0.000 0.000 0.208
0.000 0.000 0.792
0.000 0.000 0.500
0.500 0.500 0.000
0.500 0.500 0.362
0.500 0.500 0.638
0.000 0.000 0.000
0.000 0.500 0.403
0.000 0.500 0.597
0.500 0.000 0.403
0.500 0.000 0.597
0.500 0.500 0.202
0.500 0.500 0.798
```

Largest 10 diffraction maxima, in order of rising 2θ, 10 to 80 degrees two-theta:
- 2θ 28.06, intensity 55.9
- 2θ 32.36, intensity 100.0
- 2θ 34.37, intensity 64.7
- 2θ 35.13, intensity 22.3
- 2θ 35.79, intensity 28.4
- 2θ 45.21, intensity 16.9
- 2θ 49.40, intensity 34.8
- 2θ 50.46, intensity 23.5
- 2θ 60.30, intensity 34.4
- 2θ 62.49, intensity 20.1

=====

No. 4
The following is a computed XRD peak list of Li3MnP2O8. It was derived from DFT lattice parameters and positions (PBE+U), using Cu Ka.

Structure:
```
Li3MnP2O8
1.0
8.088 0.000 0.000
-2.540 8.083 0.000
-0.004 -0.009 10.414
Li Mn P O
12 4 8 32
Direct
0.000 0.000 0.000
0.000 0.002 0.505
0.007 0.508 0.666
0.084 0.836 0.773
0.127 0.383 0.917
0.130 0.874 0.262
0.252 0.735 0.477
0.257 0.249 0.688
0.429 0.454 0.002
0.438 0.960 0.169
0.802 0.261 0.487
0.967 0.440 0.187
0.496 0.465 0.489
0.506 0.960 0.670
0.722 0.240 0.991
0.730 0.740 0.175
0.329 0.589 0.236
0.331 0.088 0.917
0.402 0.651 0.753
0.408 0.150 0.419
0.826 0.054 0.251
0.827 0.556 0.920
0.886 0.629 0.422
0.904 0.131 0.745
0.028 0.798 0.441
0.032 0.307 0.731
0.189 0.924 0.941
0.199 0.433 0.184
0.267 0.235 0.954
0.280 0.747 0.208
0.291 0.749 0.675
0.304 0.248 0.497
0.321 0.578 0.878
0.330 0.083 0.291
0.361 0.586 0.384
0.387 0.104 0.773
0.425 0.513 0.665
0.426 0.003 0.501
0.495 0.086 0.002
0.505 0.588 0.163
0.572 0.799 0.771
0.587 0.291 0.410
0.644 0.419 0.914
0.645 0.916 0.249
0.711 0.640 0.481
0.738 0.123 0.661
0.815 0.198 0.164
0.816 0.700 0.004
0.853 0.100 0.889
0.860 0.598 0.274
0.888 0.112 0.384
0.909 0.616 0.792
0.925 0.444 0.992
0.936 0.950 0.184
0.946 0.493 0.488
0.994 0.008 0.693
```

Largest 10 diffraction maxima, in order of rising 2θ, 10 to 80 degrees two-theta:
- 2θ 11.47, intensity 31.7
- 2θ 14.29, intensity 31.9
- 2θ 20.29, intensity 42.9
- 2θ 21.65, intensity 100.0
- 2θ 21.99, intensity 27.2
- 2θ 23.05, intensity 33.1
- 2θ 24.61, intensity 38.1
- 2θ 31.87, intensity 46.5
- 2θ 34.45, intensity 28.4
- 2θ 36.71, intensity 41.3

=====

No. 5
The following is a computed XRD peak list of NaFe2Si4O12. It was derived from DFT lattice parameters and positions (PBE+U), using Cu Ka.

Structure:
```
NaFe2Si4O12
1.0
4.890 -4.422 0.000
4.890 4.422 0.000
-1.667 0.000 5.093
Na Fe Si O
1 2 4 12
Direct
0.000 0.000 0.000
0.598 0.402 0.000
0.801 0.199 0.500
0.084 0.502 0.989
0.324 0.091 0.517
0.498 0.916 0.011
0.909 0.676 0.483
0.050 0.659 0.264
0.055 0.647 0.770
0.087 0.191 0.452
0.316 0.393 0.035
0.341 0.950 0.736
0.353 0.945 0.230
0.517 0.253 0.618
0.607 0.684 0.965
0.667 0.103 0.111
0.747 0.483 0.382
0.809 0.913 0.548
0.897 0.333 0.889
```

Largest 10 diffraction maxima, in order of rising 2θ, 10 to 80 degrees two-theta:
- 2θ 13.82, intensity 57.8
- 2θ 19.81, intensity 45.2
- 2θ 20.08, intensity 30.3
- 2θ 24.55, intensity 19.5
- 2θ 29.59, intensity 100.0
- 2θ 30.57, intensity 57.1
- 2θ 34.99, intensity 23.1
- 2θ 35.24, intensity 36.3
- 2θ 36.18, intensity 34.3
- 2θ 40.84, intensity 24.6

=====

No. 6
The following is a computed XRD peak list of VCu6AgMo5O24. It was derived from DFT lattice parameters and positions (PBE+U), using Cu Ka.

Structure:
```
VCu6AgMo5O24
1.0
6.841 0.000 0.000
-1.669 8.439 0.000
-2.253 -2.539 9.332
V Cu Ag Mo O
1 6 1 5 24
Direct
0.000 0.000 0.000
0.147 0.178 0.428
0.263 0.851 0.253
0.511 0.956 0.053
0.647 0.647 0.899
0.847 0.710 0.653
0.944 0.116 0.678
0.885 0.397 0.144
0.127 0.581 0.920
0.300 0.635 0.542
0.488 0.188 0.779
0.664 0.242 0.403
0.785 0.817 0.317
0.037 0.937 0.312
0.039 0.191 0.099
0.077 0.376 0.826
0.120 0.587 0.100
0.127 0.692 0.644
0.214 0.418 0.457
0.222 0.920 0.073
0.229 0.134 0.657
0.304 0.746 0.408
0.389 0.677 0.926
0.402 0.145 0.397
0.483 0.075 0.909
0.558 0.689 0.665
0.559 0.892 0.241
0.577 0.405 0.867
0.662 0.132 0.677
0.669 0.236 0.224
0.718 0.446 0.500
0.746 0.617 0.213
0.756 0.883 0.012
0.798 0.809 0.496
0.884 0.151 0.480
0.902 0.660 0.839
0.979 0.000 0.823
```

Largest 10 diffraction maxima, in order of rising 2θ, 10 to 80 degrees two-theta:
- 2θ 22.69, intensity 24.9
- 2θ 26.07, intensity 98.8
- 2θ 26.63, intensity 30.5
- 2θ 27.06, intensity 28.0
- 2θ 27.89, intensity 100.0
- 2θ 30.31, intensity 35.5
- 2θ 31.76, intensity 40.2
- 2θ 32.79, intensity 29.1
- 2θ 33.56, intensity 25.7
- 2θ 53.67, intensity 30.1

=====

No. 7
The following is a computed XRD peak list of Li5Mn2P2C2O14. It was derived from DFT lattice parameters and positions (PBE+U), using Cu Ka.

Structure:
```
Li5Mn2P2C2O14
1.0
8.180 0.000 0.000
-1.913 7.990 0.000
-0.403 -0.433 8.513
Li Mn P C O
10 4 4 4 28
Direct
0.011 0.256 0.402
0.139 0.117 0.749
0.153 0.639 0.250
0.377 0.890 0.744
0.383 0.393 0.252
0.617 0.607 0.748
0.623 0.110 0.256
0.847 0.361 0.750
0.861 0.883 0.251
0.989 0.744 0.598
0.229 0.479 0.846
0.271 0.023 0.156
0.729 0.977 0.844
0.771 0.521 0.154
0.015 0.760 0.912
0.489 0.737 0.079
0.511 0.263 0.921
0.985 0.240 0.088
0.226 0.971 0.453
0.261 0.504 0.544
0.739 0.496 0.456
0.774 0.029 0.547
0.036 0.298 0.922
0.065 0.618 0.811
0.132 0.873 0.339
0.133 0.206 0.191
0.137 0.386 0.581
0.162 0.918 0.931
0.190 0.939 0.598
0.292 0.539 0.403
0.332 0.586 0.078
0.343 0.092 0.416
0.355 0.303 0.830
0.356 0.593 0.663
0.460 0.892 0.169
0.471 0.230 0.095
0.529 0.770 0.905
0.540 0.108 0.831
0.644 0.407 0.337
0.645 0.697 0.170
0.657 0.908 0.584
0.668 0.414 0.922
0.708 0.461 0.597
0.810 0.061 0.402
0.838 0.082 0.069
0.863 0.614 0.419
0.867 0.794 0.809
0.868 0.127 0.661
0.935 0.382 0.189
0.964 0.702 0.078
```

Largest 10 diffraction maxima, in order of rising 2θ, 10 to 80 degrees two-theta:
- 2θ 10.39, intensity 100.0
- 2θ 17.27, intensity 27.1
- 2θ 19.77, intensity 27.9
- 2θ 21.02, intensity 43.1
- 2θ 26.40, intensity 33.7
- 2θ 27.72, intensity 84.4
- 2θ 28.30, intensity 13.7
- 2θ 35.44, intensity 15.4
- 2θ 36.30, intensity 24.2
- 2θ 40.12, intensity 13.5

=====

No. 8
The following is a computed XRD peak list of Li2FeF4. It was derived from DFT lattice parameters and positions (PBE+U), using Cu Ka.

Structure:
```
Li2FeF4
1.0
8.409 0.000 0.000
0.000 5.677 0.000
-2.434 0.000 8.675
Li Fe F
8 4 16
Direct
0.124 0.096 0.279
0.124 0.404 0.779
0.371 0.106 0.039
0.371 0.394 0.539
0.629 0.606 0.461
0.629 0.894 0.961
0.876 0.596 0.221
0.876 0.904 0.721
0.241 0.597 0.158
0.241 0.903 0.658
0.759 0.097 0.342
0.759 0.403 0.842
0.061 0.091 0.712
0.061 0.409 0.212
0.237 0.557 0.647
0.237 0.943 0.147
0.266 0.097 0.484
0.266 0.403 0.984
0.407 0.526 0.356
0.407 0.974 0.856
0.593 0.026 0.144
0.593 0.474 0.644
0.734 0.597 0.016
0.734 0.903 0.516
0.763 0.057 0.853
0.763 0.443 0.353
0.939 0.591 0.788
0.939 0.909 0.288
```

Largest 10 diffraction maxima, in order of rising 2θ, 10 to 80 degrees two-theta:
- 2θ 20.23, intensity 100.0
- 2θ 20.46, intensity 47.9
- 2θ 21.96, intensity 90.8
- 2θ 25.78, intensity 82.7
- 2θ 25.84, intensity 34.1
- 2θ 30.24, intensity 51.9
- 2θ 31.52, intensity 31.9
- 2θ 34.08, intensity 33.0
- 2θ 44.02, intensity 30.3
- 2θ 46.10, intensity 31.2

=====

Q: What is the formula in the sixth record?
A: VCu6AgMo5O24

=====

Q: Number 7 is which compound?
A: Li5Mn2P2C2O14